# 1
The following is a theoretical powder X-ray diffraction pattern of NdTh2Bi3. It was derived from a cell relaxed with GGA-PBE, using CuKα.
Kinematic intensities with the Lorentz-polarization factor, no thermal factor.

Top 10 peaks for 2θ from 15° to 90°, low angle first:
d [Å]  I/Imax
3.977  12
3.543  66
2.784  100
2.296  53
2.176  18
1.927  13
1.771  27
1.486  28
1.403  26
1.096  11

Atomic structure:
```
NdTh2Bi3
1.0
8.753 -2.297 0.000
8.753 2.297 0.000
-3.334 0.000 10.623
Nd Th Bi
2 4 6
Cartesian
0.000 0.000 0.000 Nd
7.086 0.000 5.312 Nd
0.138 0.000 8.829 Th
3.611 0.000 7.101 Th
10.561 0.000 3.522 Th
14.034 0.000 1.795 Th
0.687 0.000 5.596 Bi
2.948 0.000 1.465 Bi
7.611 0.000 2.067 Bi
6.560 0.000 8.556 Bi
11.223 0.000 9.158 Bi
13.484 0.000 5.028 Bi
```

---

# 2
The following is a theoretical powder X-ray diffraction pattern of GaFe3Co3. It was derived from a cell relaxed with GGA-PBE, using CuKα.
Kinematic intensities with the Lorentz-polarization factor, no thermal factor.

Top 10 peaks for 2θ from 15° to 90°, low angle first:
d [Å]  I/Imax
5.654  7
2.468  8
2.007  27
1.991  25
1.969  100
1.414  14
1.371  7
1.151  15
1.145  13
1.132  7

Atomic structure:
```
GaFe3Co3
1.0
3.983 -4.014 0.000
3.983 4.014 0.000
0.000 0.000 5.486
Ga Fe Co
2 6 6
Cartesian
1.783 0.000 0.000 Ga
6.182 0.000 0.000 Ga
3.983 2.141 2.743 Fe
1.914 0.000 2.743 Fe
3.983 2.014 0.000 Fe
3.983 -2.014 0.000 Fe
6.052 0.000 2.743 Fe
3.983 -2.141 2.743 Fe
1.991 2.007 1.395 Co
1.991 2.007 4.090 Co
1.991 -2.007 1.395 Co
1.991 -2.007 4.090 Co
3.983 0.000 1.402 Co
3.983 0.000 4.083 Co
```

---

# 3
The following is a theoretical powder X-ray diffraction pattern of Nb2V3Mo8. It was derived from a cell relaxed with GGA-PBE, using CuKα.
Kinematic intensities with the Lorentz-polarization factor, no thermal factor.

Top 10 peaks for 2θ from 15° to 90°, low angle first:
d [Å]  I/Imax
3.113  31
2.975  36
2.280  25
2.226  92
2.203  49
2.195  28
2.180  100
2.143  54
2.083  31
2.075  28

Atomic structure:
```
Nb2V3Mo8
1.0
5.905 -3.679 0.000
5.905 3.679 0.000
-0.760 0.000 5.055
Nb V Mo
2 3 8
Cartesian
2.158 0.000 1.184 Nb
8.892 0.000 3.871 Nb
-0.380 0.000 2.528 V
5.905 2.409 0.000 V
5.905 -2.409 0.000 V
1.797 0.000 3.733 Mo
4.207 1.376 2.726 Mo
4.747 0.000 0.405 Mo
6.843 1.376 2.329 Mo
4.207 -1.376 2.726 Mo
6.303 0.000 4.650 Mo
6.843 -1.376 2.329 Mo
9.253 0.000 1.322 Mo
```

---

# 4
The following is a theoretical powder X-ray diffraction pattern of K4GeP4S12. It was derived from a cell relaxed with GGA-PBE, using CuKα.
Kinematic intensities with the Lorentz-polarization factor, no thermal factor.

Top 10 peaks for 2θ from 15° to 90°, low angle first:
d [Å]  I/Imax
3.700  63
3.317  80
3.222  42
3.176  100
3.126  38
3.001  45
2.894  40
2.779  61
2.539  77
2.333  44

Atomic structure:
```
K4GeP4S12
1.0
6.317 -4.070 0.000
6.317 4.070 0.000
-4.549 0.000 23.231
K Ge P S
8 2 8 24
Cartesian
0.497 0.662 4.166 K
-1.778 -0.662 15.781 K
1.865 0.149 10.591 K
-0.409 -0.149 22.206 K
8.495 0.149 1.024 K
6.220 -0.149 12.640 K
9.863 0.662 7.450 K
7.589 -0.662 19.065 K
5.180 0.323 5.808 Ge
2.906 -0.323 17.423 Ge
4.487 1.683 2.918 P
1.682 0.531 14.329 P
5.873 1.683 8.697 P
3.957 -0.531 2.714 P
4.129 0.531 20.517 P
2.212 -1.683 14.533 P
6.403 -0.531 8.902 P
3.599 -1.683 20.313 P
-1.313 1.373 19.324 S
-0.085 0.682 13.433 S
5.092 2.341 1.161 S
1.348 0.995 16.443 S
4.123 1.442 7.438 S
3.192 1.533 13.528 S
2.190 -0.682 1.817 S
5.268 2.341 10.454 S
2.619 1.533 21.318 S
0.962 -1.373 7.709 S
6.237 1.442 4.177 S
3.622 -0.995 4.827 S
4.463 0.995 18.403 S
1.848 -1.442 19.054 S
7.124 1.373 15.522 S
5.466 -1.533 1.913 S
2.817 -2.341 12.777 S
5.896 0.682 21.413 S
4.894 -1.533 9.703 S
3.963 -1.442 15.792 S
6.737 -0.995 6.788 S
2.994 -2.341 22.069 S
8.170 -0.682 9.798 S
9.398 -1.373 3.906 S
```

---

# 5
The following is a theoretical powder X-ray diffraction pattern of Tb6Er4Sc. It was derived from a cell relaxed with GGA-PBE, using CuKα.
Kinematic intensities with the Lorentz-polarization factor, no thermal factor.

Top 10 peaks for 2θ from 15° to 90°, low angle first:
d [Å]  I/Imax
2.907  58
2.889  45
2.813  61
2.765  100
2.749  15
2.658  55
2.644  14
2.015  33
1.615  38
1.578  15

Atomic structure:
```
Tb6Er4Sc
1.0
2.813 -4.764 0.000
2.813 4.764 0.000
0.000 0.000 25.433
Tb Er Sc
12 8 2
Cartesian
0.000 0.000 0.000 Tb
0.000 0.000 12.717 Tb
2.813 4.540 19.075 Tb
2.813 1.799 2.696 Tb
2.813 1.799 10.021 Tb
2.813 1.360 17.366 Tb
2.813 1.360 20.784 Tb
2.813 -1.360 4.650 Tb
2.813 -1.360 8.067 Tb
2.813 -1.799 15.413 Tb
2.813 -1.799 22.737 Tb
2.813 -4.540 6.358 Tb
2.813 4.510 15.820 Er
2.813 4.510 22.330 Er
2.813 1.498 13.827 Er
2.813 1.498 24.323 Er
2.813 -1.498 1.110 Er
2.813 -1.498 11.607 Er
2.813 -4.510 3.103 Er
2.813 -4.510 9.614 Er
2.813 1.798 6.358 Sc
2.813 -1.798 19.075 Sc
```

---

# 6
The following is a theoretical powder X-ray diffraction pattern of Ac4YP5. It was derived from a cell relaxed with GGA-PBE, using CuKα.
Kinematic intensities with the Lorentz-polarization factor, no thermal factor.

Top 10 peaks for 2θ from 15° to 90°, low angle first:
d [Å]  I/Imax
3.574  100
3.101  69
3.084  33
2.193  26
2.187  51
1.869  35
1.862  17
1.787  27
1.419  14
1.265  18

Atomic structure:
```
Ac4YP5
1.0
-2.193 2.193 15.421
2.193 -2.193 15.421
2.193 2.193 -15.421
Ac Y P
4 1 5
Cartesian
0.000 0.000 2.985 Ac
0.000 0.000 9.298 Ac
0.000 0.000 21.545 Ac
0.000 0.000 27.858 Ac
0.000 0.000 15.421 Y
0.000 0.000 0.000 P
0.000 0.000 6.151 P
0.000 0.000 12.512 P
0.000 0.000 18.331 P
0.000 0.000 24.692 P
```

---

# 7
The following is a theoretical powder X-ray diffraction pattern of Tb5NdSm2Y. It was derived from a cell relaxed with GGA-PBE, using CuKα.
Kinematic intensities with the Lorentz-polarization factor, no thermal factor.

Top 10 peaks for 2θ from 15° to 90°, low angle first:
d [Å]  I/Imax
3.125  54
3.110  51
2.901  100
2.781  20
2.429  14
2.409  20
2.114  21
1.930  13
1.753  22
1.640  13

Atomic structure:
```
Tb5NdSm2Y
1.0
-4.398 4.398 7.721
4.398 -4.398 7.721
4.398 4.398 -7.721
Tb Nd Sm Y
10 2 4 2
Cartesian
0.000 0.000 0.000 Tb
6.239 1.841 -2.106 Tb
1.841 2.556 -2.106 Tb
6.239 1.841 2.106 Tb
1.841 2.556 2.106 Tb
0.000 0.000 7.721 Tb
2.556 1.841 5.615 Tb
-1.841 2.556 5.615 Tb
2.556 1.841 9.826 Tb
-1.841 2.556 9.826 Tb
0.000 0.000 3.860 Nd
0.000 0.000 11.581 Nd
3.378 1.020 0.000 Sm
3.378 -1.020 7.721 Sm
1.020 5.417 0.000 Sm
1.020 3.378 7.721 Sm
4.398 0.000 3.860 Y
0.000 4.398 3.860 Y
```

---

# 8
The following is a theoretical powder X-ray diffraction pattern of LiUSe3. It was derived from a cell relaxed with GGA-PBE, using CuKα.
Kinematic intensities with the Lorentz-polarization factor, no thermal factor.

Top 10 peaks for 2θ from 15° to 90°, low angle first:
d [Å]  I/Imax
5.437  72
3.616  26
3.530  30
2.694  100
2.645  27
2.636  36
2.526  72
2.315  34
2.200  30
1.997  26

Atomic structure:
```
LiUSe3
1.0
3.993 0.000 0.000
0.000 8.525 0.000
0.000 0.000 7.059
Li U Se
2 2 6
Cartesian
0.000 1.254 0.000 Li
0.000 7.271 3.530 Li
1.997 3.236 3.941 U
1.997 5.290 0.411 U
0.000 1.247 4.321 Se
0.000 3.872 6.085 Se
0.000 4.653 2.555 Se
0.000 7.278 0.792 Se
1.997 2.286 1.383 Se
1.997 6.239 4.913 Se
```